# BaW5
Theoretical PXRD pattern, Cu Ka. Input: a GGA-PBE-relaxed structure.

Main lines, by intensity (10 to 80 degrees two-theta):
d/Å  I/Imax  hkl
8.416  100  0 0 1
2.230  66  3 1 0
2.154  49  2 0 3
2.565  45  1 1 -2
2.763  26  2 0 2
2.352  24  4 0 -2
2.121  15  4 0 -3
1.593  14  0 2 0
1.279  12  2 2 3
1.562  11  6 0 0

Structure:
a b c (Å): 9.7793 3.1841 8.7823
angles (deg): 90.00 106.60 90.00
Space group C2/m (No. 12)
Inequivalent atoms, fractional coordinates:
Ba1 0.0000 0.0000 0.0000 x2
W1 0.0000 0.0000 0.5000 x2
W2 0.1647 0.5000 0.7244 x4
W3 0.1696 0.5000 0.3771 x4